(1)
Computed powder diffractogram of Nb6ReMo5 for λ = 1.5418 Å (Cu Kα), from a structure optimized by DFT (GGA-PBE).
Intensities are scaled so that the largest is 100.

Crystal structure
a = 7.906 Å, b = 7.906 Å, c = 7.906 Å
α = 146.40°, β = 131.86°, γ = 59.98°
Fractional positions:
1 Nb 0.084 0.334 0.750
2 Nb 0.249 0.000 0.249
3 Nb 0.416 0.666 0.750
4 Nb 0.584 0.334 0.250
5 Nb 0.751 0.000 0.751
6 Nb 0.916 0.666 0.250
7 Re 0.000 0.500 0.500
8 Mo 0.166 0.166 0.000
9 Mo 0.333 0.833 0.500
10 Mo 0.500 0.500 0.000
11 Mo 0.667 0.167 0.500
12 Mo 0.834 0.834 0.000

Principal peaks in the range 5° ≤ 2θ ≤ 70°, low angle first:
2θ = 12.93°, I = 1; 2θ = 15.19°, I = 2; 2θ = 20.49°, I = 1; 2θ = 23.87°, I = 1; 2θ = 27.23°, I = 1; 2θ = 27.63°, I = 1; 2θ = 35.60°, I = 1; 2θ = 39.48°, I = 100; 2θ = 57.03°, I = 11; 2θ = 57.13°, I = 6


(2)
Computed powder diffractogram of Er3NiPb2 for λ = 1.5418 Å (Cu Kα), from a structure optimized by DFT (GGA-PBE).
Intensities are scaled so that the largest is 100.

Crystal structure
a = 12.140 Å, b = 4.353 Å, c = 11.753 Å
α = 90.00°, β = 90.00°, γ = 90.00°
Fractional positions:
1 Er 0.058 0.250 0.131
2 Er 0.122 0.750 0.547
3 Er 0.239 0.250 0.790
4 Er 0.261 0.750 0.290
5 Er 0.378 0.250 0.047
6 Er 0.442 0.750 0.631
7 Er 0.558 0.250 0.369
8 Er 0.622 0.750 0.953
9 Er 0.739 0.250 0.710
10 Er 0.761 0.750 0.210
11 Er 0.878 0.250 0.453
12 Er 0.942 0.750 0.869
13 Ni 0.127 0.250 0.365
14 Ni 0.373 0.750 0.865
15 Ni 0.627 0.250 0.135
16 Ni 0.873 0.750 0.635
17 Pb 0.000 0.250 0.690
18 Pb 0.000 0.750 0.310
19 Pb 0.187 0.750 0.993
20 Pb 0.313 0.250 0.493
21 Pb 0.500 0.250 0.810
22 Pb 0.500 0.750 0.190
23 Pb 0.687 0.750 0.507
24 Pb 0.813 0.250 0.007

Principal peaks in the range 5° ≤ 2θ ≤ 70°, low angle first:
2θ = 29.47°, I = 94; 2θ = 30.70°, I = 100; 2θ = 31.12°, I = 38; 2θ = 31.60°, I = 41; 2θ = 33.22°, I = 57; 2θ = 33.88°, I = 98; 2θ = 36.91°, I = 89; 2θ = 37.67°, I = 42; 2θ = 39.89°, I = 53; 2θ = 41.49°, I = 83


(3)
Computed powder diffractogram of Tl4HgH4 for λ = 1.5418 Å (Cu Kα), from a structure optimized by DFT (GGA-PBE).
Intensities are scaled so that the largest is 100.

Crystal structure
a = 8.444 Å, b = 8.444 Å, c = 5.234 Å
α = 90.00°, β = 90.00°, γ = 90.00°
Fractional positions:
1 Tl 0.043 0.833 0.197
2 Tl 0.167 0.543 0.697
3 Tl 0.333 0.957 0.697
4 Tl 0.457 0.667 0.197
5 Tl 0.543 0.333 0.803
6 Tl 0.667 0.043 0.303
7 Tl 0.833 0.457 0.303
8 Tl 0.957 0.167 0.803
9 Hg 0.250 0.250 0.250
10 Hg 0.750 0.750 0.750
11 H 0.115 0.814 0.605
12 H 0.186 0.615 0.105
13 H 0.314 0.885 0.105
14 H 0.385 0.686 0.605
15 H 0.615 0.314 0.395
16 H 0.686 0.115 0.895
17 H 0.814 0.385 0.895
18 H 0.885 0.186 0.395

Principal peaks in the range 5° ≤ 2θ ≤ 70°, low angle first:
2θ = 29.16°, I = 100; 2θ = 33.56°, I = 37; 2θ = 34.27°, I = 13; 2θ = 35.93°, I = 5; 2θ = 48.20°, I = 13; 2θ = 48.72°, I = 18; 2θ = 57.12°, I = 7; 2θ = 57.33°, I = 29; 2θ = 58.25°, I = 8; 2θ = 60.46°, I = 9


(4)
Computed powder diffractogram of NdZnInHg for λ = 1.5418 Å (Cu Kα), from a structure optimized by DFT (GGA-PBE).
Intensities are scaled so that the largest is 100.

Crystal structure
a = 5.129 Å, b = 5.129 Å, c = 5.129 Å
α = 60.00°, β = 60.00°, γ = 60.00°
Fractional positions:
1 Nd 0.000 0.000 0.000
2 Zn 0.250 0.250 0.250
3 In 0.500 0.500 0.500
4 Hg 0.750 0.750 0.750

Principal peaks in the range 5° ≤ 2θ ≤ 70°, low angle first:
2θ = 21.21°, I = 14; 2θ = 34.99°, I = 100; 2θ = 41.28°, I = 8; 2θ = 50.31°, I = 18; 2θ = 55.19°, I = 4; 2θ = 62.75°, I = 36; 2θ = 67.04°, I = 3